For InIBr2, a structure optimized by DFT (PBE) gives the simulated powder XRD pattern in this record (λ = 1.5418 Å (Cu Kα)).
Kinematic intensities with the Lorentz-polarization factor, no thermal factor.

Largest 10 diffraction maxima, sorted by position, 5 to 70 degrees two-theta:
d/Å  2θ (°)  intensity  h k l
7.207  12.28  64  0 0 1
5.934  14.93  21  1 1 0
5.157  17.19  31  1 1 -1
3.366  26.48  34  1 3 -1
3.037  29.41  100  1 3 1
2.828  31.64  44  2 0 -2
2.122  42.61  38  1 3 -3
2.093  43.22  19  0 6 0
2.022  44.83  29  3 3 -1
1.683  54.53  22  2 6 -2

Structure:
a b c (Å): 6.942 12.562 7.432
angles (deg): 90.00 104.12 90.00
Sites, in units of the cell vectors:
In (0.000, 0.167, 0.000)
In (0.000, 0.833, 0.000)
In (0.500, 0.333, 0.000)
In (0.500, 0.667, 0.000)
I (0.214, 0.000, 0.243)
I (0.286, 0.500, 0.757)
I (0.714, 0.500, 0.243)
I (0.786, 0.000, 0.757)
Br (0.233, 0.319, 0.217)
Br (0.233, 0.681, 0.217)
Br (0.267, 0.181, 0.783)
Br (0.267, 0.819, 0.783)
Br (0.733, 0.181, 0.217)
Br (0.733, 0.819, 0.217)
Br (0.767, 0.319, 0.783)
Br (0.767, 0.681, 0.783)

***

For LaPrGdTh, a structure optimized by DFT (PBE) gives the simulated powder XRD pattern in this record (λ = 1.5418 Å (Cu Kα)).
Kinematic intensities with the Lorentz-polarization factor, no thermal factor.

Largest 10 diffraction maxima, sorted by position, 5 to 70 degrees two-theta:
d/Å  2θ (°)  intensity  h k l
4.732  18.75  2  1 1 1
4.098  21.69  3  2 0 0
2.898  30.86  100  2 2 0
2.471  36.36  1  3 1 1
2.366  38.03  1  2 2 2
2.049  44.20  19  4 0 0
1.880  48.41  1  3 3 1
1.833  49.75  1  4 2 0
1.673  54.88  40  4 2 2
1.449  64.30  12  4 4 0

Structure:
a b c (Å): 8.196 8.196 8.196
angles (deg): 90.00 90.00 90.00
Sites, in units of the cell vectors:
La (0.000, 0.000, 0.000)
La (0.000, 0.500, 0.500)
La (0.500, 0.000, 0.500)
La (0.500, 0.500, 0.000)
Pr (0.000, 0.000, 0.500)
Pr (0.000, 0.500, 0.000)
Pr (0.500, 0.000, 0.000)
Pr (0.500, 0.500, 0.500)
Gd (0.250, 0.250, 0.250)
Gd (0.250, 0.750, 0.750)
Gd (0.750, 0.250, 0.750)
Gd (0.750, 0.750, 0.250)
Th (0.250, 0.250, 0.750)
Th (0.250, 0.750, 0.250)
Th (0.750, 0.250, 0.250)
Th (0.750, 0.750, 0.750)

***

For NpCr2Si2, a structure optimized by DFT (PBE) gives the simulated powder XRD pattern in this record (λ = 1.5418 Å (Cu Kα)).
Kinematic intensities with the Lorentz-polarization factor, no thermal factor.

Largest 10 diffraction maxima, sorted by position, 5 to 70 degrees two-theta:
d/Å  2θ (°)  intensity  h k l
5.347  16.58  24  0 0 2
3.595  24.77  81  1 0 1
2.699  33.19  18  1 1 0
2.674  33.52  22  0 0 4
2.605  34.42  71  1 0 3
2.409  37.32  100  1 1 2
1.908  47.65  32  2 0 0
1.866  48.81  31  1 0 5
1.686  54.43  21  2 1 1
1.540  60.10  29  2 1 3

Structure:
a b c (Å): 3.817 3.817 10.695
angles (deg): 90.00 90.00 90.00
Sites, in units of the cell vectors:
Np (0.000, 0.000, 0.000)
Np (0.500, 0.500, 0.500)
Cr (0.000, 0.500, 0.250)
Cr (0.000, 0.500, 0.750)
Cr (0.500, 0.000, 0.250)
Cr (0.500, 0.000, 0.750)
Si (0.000, 0.000, 0.387)
Si (0.000, 0.000, 0.613)
Si (0.500, 0.500, 0.113)
Si (0.500, 0.500, 0.887)

***

For PmNd4Sm3, a structure optimized by DFT (PBE) gives the simulated powder XRD pattern in this record (λ = 1.5418 Å (Cu Kα)).
Kinematic intensities with the Lorentz-polarization factor, no thermal factor.

Largest 10 diffraction maxima, sorted by position, 5 to 70 degrees two-theta:
d/Å  2θ (°)  intensity  h k l
3.197  27.91  23  0 2 1
2.959  30.20  25  4 0 0
2.813  31.82  100  2 0 2
2.172  41.59  16  4 2 1
1.846  49.38  20  0 4 0
1.679  54.67  22  6 0 2
1.566  58.98  23  4 4 0
1.543  59.95  16  2 4 2
1.480  62.80  3  8 0 0
1.406  66.49  4  4 0 4

Structure:
a b c (Å): 11.838 7.385 6.391
angles (deg): 90.00 90.00 90.00
Sites, in units of the cell vectors:
Pm (0.000, 0.125, 0.000)
Pm (0.500, 0.875, 0.500)
Nd (0.000, 0.374, 0.500)
Nd (0.000, 0.626, 0.998)
Nd (0.249, 0.626, 0.332)
Nd (0.251, 0.374, 0.832)
Nd (0.500, 0.374, 0.498)
Nd (0.500, 0.626, 0.000)
Nd (0.749, 0.374, 0.832)
Nd (0.751, 0.626, 0.332)
Sm (0.000, 0.877, 0.499)
Sm (0.250, 0.124, 0.331)
Sm (0.250, 0.876, 0.831)
Sm (0.500, 0.123, 0.999)
Sm (0.750, 0.124, 0.331)
Sm (0.750, 0.876, 0.831)